Entry 1:
The following is a theoretical powder diffraction line list of TbTa2Os3. It was derived from a DFT-relaxed cell (GGA-PBE, Alexandria), using λ = 1.5418 Å (Cu Kα).
Peak positions follow from Bragg's law for the DFT cell and can differ from measured ones.

Structural model:
Cell: 3.161 3.161 10.609 Å, 90.00 90.00 90.00°
Positions (direct):
1 Tb 0.000 0.000 0.000
2 Ta 0.000 0.000 0.341
3 Ta 0.000 0.000 0.659
4 Os 0.500 0.500 0.204
5 Os 0.500 0.500 0.500
6 Os 0.500 0.500 0.796

Main lines, low angle first (15 to 90 degrees two-theta):
2θ (°)  Rel. int.
38.2  100
40.4  51
44.6  11
51.7  6
58.4  18
67.6  11
71.9  32
75.8  6
81.7  7
87.2  6

Entry 2:
The following is a theoretical powder diffraction line list of TaTc2Os. It was derived from a DFT-relaxed cell (GGA-PBE, Alexandria), using λ = 1.5418 Å (Cu Kα).
Peak positions follow from Bragg's law for the DFT cell and can differ from measured ones.

Structural model:
Cell: 5.209 5.209 5.209 Å, 145.14 129.20 63.09°
Positions (direct):
1 Ta 0.000 0.000 0.000
2 Tc 0.237 0.737 0.500
3 Tc 0.495 0.495 0.000
4 Os 0.759 0.259 0.500

Main lines, low angle first (15 to 90 degrees two-theta):
2θ (°)  Rel. int.
22.3  9
40.4  21
40.7  100
58.6  13
59.2  7
73.6  14
74.0  13
74.1  7
74.3  7
88.1  9

Entry 3:
The following is a theoretical powder diffraction line list of Ta4TcOs. It was derived from a DFT-relaxed cell (GGA-PBE, Alexandria), using λ = 1.5418 Å (Cu Kα).
Peak positions follow from Bragg's law for the DFT cell and can differ from measured ones.

Structural model:
Cell: 4.365 4.365 6.244 Å, 90.00 90.00 90.00°
Positions (direct):
1 Ta 0.000 0.500 0.249
2 Ta 0.000 0.500 0.751
3 Ta 0.500 0.000 0.249
4 Ta 0.500 0.000 0.751
5 Tc 0.000 0.000 0.000
6 Os 0.500 0.500 0.500

Main lines, low angle first (15 to 90 degrees two-theta):
2θ (°)  Rel. int.
24.9  31
28.6  12
28.9  23
41.1  100
41.4  49
48.9  10
59.9  17
74.8  17
75.3  34
89.3  12

Entry 4:
The following is a theoretical powder diffraction line list of TaTe4Os. It was derived from a DFT-relaxed cell (GGA-PBE, Alexandria), using λ = 1.5418 Å (Cu Kα).
Peak positions follow from Bragg's law for the DFT cell and can differ from measured ones.

Structural model:
Cell: 7.503 7.503 6.256 Å, 106.27 106.27 29.04°
Positions (direct):
1 Ta 0.000 0.000 0.000
2 Te 0.088 0.088 0.481
3 Te 0.390 0.390 0.178
4 Te 0.640 0.640 0.997
5 Te 0.850 0.850 0.627
6 Os 0.484 0.484 0.631

Main lines, low angle first (15 to 90 degrees two-theta):
2θ (°)  Rel. int.
29.8  25
31.5  100
35.9  27
36.6  23
38.9  22
39.6  18
46.5  29
48.4  20
50.2  18
50.5  17